[1]
Diffraction record for SrCa2Cu9. The XRD peak list is simulated, not measured: it uses a cell relaxed with PBE and Cu Kα, 1.54184 Å.

```
data_SrCa2Cu9
_chemical_formula_sum 'Sr3 Ca6 Cu27'
_cell_length_a 5.2979
_cell_length_b 5.2979
_cell_length_c 25.0477
_cell_angle_alpha 90.00
_cell_angle_beta 90.00
_cell_angle_gamma 120.00
_space_group_name_H-M_alt 'R -3 m'
_space_group_IT_number 166
_space_group_name_Hall '-R 3 2"'
loop_
_atom_site_label
_atom_site_fract_x
_atom_site_fract_y
_atom_site_fract_z
Sr1 0.0000 0.0000 0.0000
Ca1 0.0000 0.0000 0.1428
Cu1 0.0000 0.0000 0.3318
Cu2 0.0000 0.0000 0.5000
Cu3 0.0036 0.5018 0.0817
```

Largest 6 diffraction maxima, in order of rising 2θ, 2θ = 10–90°:
2θ (°)  Rel. int.  (hkl)
39.44  30  0 2 1
40.32  100  1 1 6
43.37  57  0 0 12
64.94  22  0 3 6
71.19  22  2 2 0
87.16  22  2 2 12



[2]
Diffraction record for CaTaCu. The XRD peak list is simulated, not measured: it uses a cell relaxed with PBE and Cu Kα, 1.54184 Å.

```
data_CaTaCu
_chemical_formula_sum 'Ca2 Ta2 Cu2'
_cell_length_a 3.4475
_cell_length_b 3.4493
_cell_length_c 10.7260
_cell_angle_alpha 90.00
_cell_angle_beta 90.07
_cell_angle_gamma 90.00
_space_group_name_H-M_alt 'P 1 m 1'
_space_group_IT_number 6
loop_
_space_group_symop_operation_xyz
'x,y,z'
'x,-y,z'
loop_
_atom_site_label
_atom_site_fract_x
_atom_site_fract_y
_atom_site_fract_z
Ca1 0.0000 0.0000 0.0000
Ca2 0.0002 0.0000 0.3436
Ta1 0.0006 0.0000 0.6808
Ta2 0.5001 0.5000 0.5620
Cu1 0.5000 0.5000 0.1740
Cu2 0.5011 0.5000 0.8129
```

Largest 6 diffraction maxima, in order of rising 2θ, 2θ = 10–90°:
2θ (°)  Rel. int.  (hkl)
16.53  37  0 0 2
36.19  100  1 0 3
36.86  64  1 1 0
42.72  27  1 0 4
50.08  23  1 0 -5
65.97  33  2 1 3